Structure and calculated powder diffractogram of KInBr3 (the GGA-PBE geometry in the Materials Project; a wavelength of 1.5418 Å).

Top 10 peaks for 10° ≤ 2θ ≤ 90°, in order of falling intensity:
two_theta  I/Imax
25.90  100
38.48  57
28.48  56
11.63  55
31.09  51
45.51  49
35.38  46
14.13  33
55.34  32
19.85  30

```
data_KInBr3
_chemical_formula_sum 'K4 In4 Br12'
_cell_length_a 8.7879
_cell_length_b 8.7879
_cell_length_c 11.0562
_cell_angle_alpha 90.00
_cell_angle_beta 90.00
_cell_angle_gamma 120.00
_symmetry_space_group_name_H-M 'P -3'
_symmetry_Int_Tables_number 147
loop_
_symmetry_equiv_pos_as_xyz
'x,y,z'
'-x,-y,-z'
'-y,x-y,z'
'y,-x+y,-z'
'-x+y,-x,z'
'x-y,x,-z'
loop_
_atom_site_label
_atom_site_fract_x
_atom_site_fract_y
_atom_site_fract_z
K1 0.0000 0.0000 0.2417
K2 0.3333 0.6667 0.3784
In1 0.3333 0.6667 0.0038
In2 0.3333 0.6667 0.7513
Br1 0.0928 0.6994 0.1245
Br2 0.1045 0.7154 0.6266
```